Diffraction record for Zr2P2O9. The PXRD pattern is simulated, not measured: it uses the PBE geometry in the Materials Project and Cu Kα.
Lines closer than 0.1° are merged.

Top 6 peaks for 2θ from 10° to 90°, by intensity:
| Position (°2θ) | d/Å | I/Imax |
| --- | --- | --- |
| 15.82 | 5.601 | 100 |
| 26.68 | 3.342 | 93 |
| 26.25 | 3.395 | 59 |
| 25.54 | 3.488 | 51 |
| 37.89 | 2.375 | 26 |
| 41.45 | 2.179 | 18 |

Crystal structure
Unit cell a=7.737 b=7.737 c=10.273 alpha=126.77 beta=126.77 gamma=51.22
Positions (direct):
Zr  0.057  0.057  0.402
Zr  0.315  0.315  0.864
Zr  0.685  0.685  0.136
Zr  0.943  0.943  0.598
P  0.170  0.170  0.041
P  0.407  0.407  0.665
P  0.593  0.593  0.335
P  0.830  0.830  0.959
O  0.003  0.626  0.860
O  0.035  0.035  0.858
O  0.114  0.114  0.656
O  0.242  0.618  0.606
O  0.267  0.267  0.598
O  0.272  0.272  0.023
O  0.374  0.997  0.140
O  0.382  0.758  0.394
O  0.483  0.483  0.866
O  0.517  0.517  0.134
O  0.618  0.242  0.606
O  0.626  0.003  0.860
O  0.728  0.728  0.977
O  0.733  0.733  0.402
O  0.758  0.382  0.394
O  0.886  0.886  0.344
O  0.965  0.965  0.142
O  0.997  0.374  0.140

---

Diffraction record for Zr6P2O. The PXRD pattern is simulated, not measured: it uses the PBE geometry in the Materials Project and Cu Kα.
Lines closer than 0.1° are merged.

Top 6 peaks for 2θ from 10° to 90°, by intensity:
| Position (°2θ) | d/Å | I/Imax |
| --- | --- | --- |
| 35.50 | 2.528 | 100 |
| 34.29 | 2.615 | 52 |
| 33.94 | 2.641 | 44 |
| 37.37 | 2.406 | 30 |
| 36.50 | 2.462 | 29 |
| 36.88 | 2.437 | 26 |

Crystal structure
Unit cell a=5.707 b=5.707 c=8.433 alpha=91.79 beta=91.79 gamma=36.10
Positions (direct):
Zr  0.063  0.063  0.246
Zr  0.360  0.360  0.059
Zr  0.362  0.362  0.450
Zr  0.638  0.638  0.550
Zr  0.640  0.640  0.941
Zr  0.937  0.937  0.754
P  0.246  0.246  0.751
P  0.754  0.754  0.249
O  0.000  0.000  0.500